Record 1
The following is a simulated powder diffractogram of Rb3Cd5Hg2. It was derived from DFT lattice parameters and positions (GGA-PBE), using Cu Kα (weighted mean of Kα1 and Kα2).

Main lines, low angle first (10° ≤ 2θ ≤ 80°):
2θ (°)	Rel. int.	hkl
18.2	60	1 2 1
26.9	46	3 2 1
27.4	83	2 4 0
28.1	66	2 0 2
31.0	26	4 1 1
34.1	100	0 4 2
36.8	31	4 4 0
37.3	34	4 0 2
39.1	34	5 2 1
49.8	19	0 0 4
56.7	17	2 8 2
57.8	17	2 4 4

Cell and atoms:
a b c (Å): 12.8092 15.1059 7.3252
angles (deg): 90.00 90.00 90.00
Space group Ibam (No. 72)
Asymmetric unit:
Rb1 0.0000 0.0000 0.2500
Rb2 0.2265 0.3797 0.0000
Cd1 0.0000 0.2463 0.2500
Cd2 0.0000 0.5000 0.2500
Cd3 0.1115 0.3725 0.5000
Hg1 0.1595 0.1504 0.0000

---

Record 2
The following is a simulated powder diffractogram of Sr2Te. It was derived from DFT lattice parameters and positions (GGA-PBE), using Cu Kα (weighted mean of Kα1 and Kα2).

Main lines, low angle first (10° ≤ 2θ ≤ 80°):
2θ (°)	Rel. int.	hkl
12.2	27	0 0 2
28.4	100	1 0 3
30.7	52	1 1 0
33.1	10	1 1 2
37.9	28	1 0 5
44.0	19	2 0 0
48.9	10	1 1 6
53.2	34	2 1 3
59.4	15	2 1 5
60.0	13	1 1 8
68.9	9	2 0 8
72.6	8	3 1 0

Cell and atoms:
a b c (Å): 4.1200 4.1200 14.5283
angles (deg): 90.00 90.00 90.00
Space group I4/mmm (No. 139)
Asymmetric unit:
Sr1 0.0000 0.0000 0.1339
Te1 0.0000 0.0000 0.5000

---

Record 3
The following is a simulated powder diffractogram of TbZn2Pd5. It was derived from DFT lattice parameters and positions (GGA-PBE), using Cu Kα (weighted mean of Kα1 and Kα2).

Main lines, low angle first (10° ≤ 2θ ≤ 80°):
2θ (°)	Rel. int.	hkl
15.0	16	0 0 2
27.2	10	0 1 3
30.8	16	1 1 2
31.7	51	1 0 3
38.6	100	1 2 1
43.3	59	0 2 4
44.3	50	1 0 5
44.9	31	2 0 0
63.0	11	0 4 0
64.2	36	2 2 4
72.3	9	1 4 3
78.6	12	3 2 1

Cell and atoms:
a b c (Å): 4.0348 5.8996 11.8498
angles (deg): 90.00 90.00 90.00
Space group Immm (No. 71)
Asymmetric unit:
Tb1 0.0000 0.0000 0.0000
Zn1 0.0000 0.5000 0.2123
Pd1 0.0000 0.2371 0.3771
Pd2 0.0000 0.5000 0.0000

---

Copy entry 1 word for word.
The following is a simulated powder diffractogram of Rb3Cd5Hg2. It was derived from DFT lattice parameters and positions (GGA-PBE), using Cu Kα (weighted mean of Kα1 and Kα2).

Main lines, low angle first (10° ≤ 2θ ≤ 80°):
2θ (°)	Rel. int.	hkl
18.2	60	1 2 1
26.9	46	3 2 1
27.4	83	2 4 0
28.1	66	2 0 2
31.0	26	4 1 1
34.1	100	0 4 2
36.8	31	4 4 0
37.3	34	4 0 2
39.1	34	5 2 1
49.8	19	0 0 4
56.7	17	2 8 2
57.8	17	2 4 4

Cell and atoms:
a b c (Å): 12.8092 15.1059 7.3252
angles (deg): 90.00 90.00 90.00
Space group Ibam (No. 72)
Asymmetric unit:
Rb1 0.0000 0.0000 0.2500
Rb2 0.2265 0.3797 0.0000
Cd1 0.0000 0.2463 0.2500
Cd2 0.0000 0.5000 0.2500
Cd3 0.1115 0.3725 0.5000
Hg1 0.1595 0.1504 0.0000